(1)
Calculated powder diffractogram
Compound: Ho4TeI5
Radiation: Cu Ka
Structure: a cell relaxed with GGA-PBE

Structural model:
a = 19.453 Å, b = 4.088 Å, c = 9.118 Å
α = 90.00°, β = 105.89°, γ = 90.00°
Space group C2/m (No. 12)
Unique sites:
Ho 0.009 0.000 0.278 x4
Ho 0.153 0.500 0.557 x4
Te 0.000 0.500 0.500 x2
I 0.000 0.500 0.000 x2
I 0.159 0.000 0.819 x4
I 0.177 0.000 0.312 x4

Main lines, by angle (10° ≤ 2θ ≤ 90°):
2θ = 10.1°, I = 35, hkl 0 0 1; 2θ = 28.6°, I = 46, hkl 6 0 0; 2θ = 29.4°, I = 100, hkl 1 1 -2; 2θ = 39.6°, I = 17, hkl 2 0 -4; 2θ = 40.9°, I = 36, hkl 7 1 -2; 2θ = 42.1°, I = 28, hkl 5 1 2; 2θ = 44.3°, I = 16, hkl 0 2 0; 2θ = 48.5°, I = 11, hkl 8 0 -4; 2θ = 53.6°, I = 16, hkl 6 2 0; 2θ = 60.9°, I = 10, hkl 2 2 -4

(2)
Calculated powder diffractogram
Compound: Ac2Cd5Hg12
Radiation: Cu Ka
Structure: a cell relaxed with GGA-PBE

Structural model:
a = 10.1095 Å, b = 10.1095 Å, c = 16.5762 Å
α = 90.00°, β = 90.00°, γ = 120.00°
Space group R-3m (No. 166, hexagonal axes)
Unique sites:
Ac 0.0000 0.0000 0.1805 x6
Cd 0.0000 0.0000 0.3992 x6
Cd 0.0000 0.5000 0.0000 x9
Hg 0.0000 0.2915 0.5000 x18
Hg 0.0225 0.5113 0.6328 x18

Main lines, by angle (10° ≤ 2θ ≤ 90°):
2θ = 29.1°, I = 23, hkl 1 2 2; 2θ = 29.7°, I = 44, hkl 0 2 4; 2θ = 30.6°, I = 26, hkl 3 0 0; 2θ = 32.4°, I = 27, hkl 0 0 6; 2θ = 33.9°, I = 56, hkl 2 0 5; 2θ = 34.8°, I = 100, hkl 0 3 3; 2θ = 35.5°, I = 40, hkl 2 2 0; 2θ = 39.2°, I = 44, hkl 2 2 3; 2θ = 62.8°, I = 16, hkl 4 2 5; 2θ = 63.8°, I = 16, hkl 6 0 0

(3)
Calculated powder diffractogram
Compound: YCo2PH
Radiation: Cu Ka
Structure: a cell relaxed with GGA-PBE

Structural model:
a = 3.590 Å, b = 10.050 Å, c = 6.623 Å
α = 90.00°, β = 90.00°, γ = 90.00°
Space group Cmcm (No. 63)
Unique sites:
Y 0.000 0.055 0.250 x4
Co 0.000 0.333 0.060 x8
P 0.000 0.225 0.750 x4
H 0.000 0.500 0.000 x4

Main lines, by angle (10° ≤ 2θ ≤ 90°):
2θ = 32.4°, I = 31, hkl 0 2 2; 2θ = 36.7°, I = 72, hkl 1 3 0; 2θ = 38.0°, I = 100, hkl 1 1 2; 2θ = 38.3°, I = 56, hkl 0 4 1; 2θ = 39.2°, I = 54, hkl 1 3 1; 2θ = 44.8°, I = 35, hkl 0 2 3; 2θ = 49.3°, I = 22, hkl 1 1 3; 2θ = 50.9°, I = 34, hkl 2 0 0; 2θ = 65.4°, I = 22, hkl 2 4 1; 2θ = 68.3°, I = 25, hkl 1 5 3

(4)
Calculated powder diffractogram
Compound: AcTb2Si6
Radiation: Cu Ka
Structure: a cell relaxed with GGA-PBE

Structural model:
a = 7.2249 Å, b = 7.2249 Å, c = 4.1299 Å
α = 90.00°, β = 90.00°, γ = 120.00°
Space group P6/mmm (No. 191)
Unique sites:
Ac 0.0000 0.0000 0.0000 x1
Tb 0.3333 0.6667 0.0000 x2
Si 0.0000 0.3399 0.5000 x6

Main lines, by angle (10° ≤ 2θ ≤ 90°):
2θ = 21.5°, I = 15, hkl 0 0 1; 2θ = 24.6°, I = 53, hkl 1 1 0; 2θ = 32.9°, I = 100, hkl 1 1 1; 2θ = 43.4°, I = 30, hkl 3 0 0; 2θ = 48.9°, I = 12, hkl 3 0 1; 2θ = 50.9°, I = 16, hkl 1 1 2; 2θ = 55.5°, I = 23, hkl 2 2 1; 2θ = 63.4°, I = 20, hkl 3 0 2; 2θ = 73.0°, I = 20, hkl 4 1 1; 2θ = 73.6°, I = 10, hkl 1 1 3

(5)
Calculated powder diffractogram
Compound: Na5Li3Br8
Radiation: Cu Ka
Structure: a cell relaxed with GGA-PBE

Structural model:
a = 8.2488 Å, b = 8.2488 Å, c = 20.3147 Å
α = 90.00°, β = 90.00°, γ = 120.00°
Space group R-3m (No. 166, hexagonal axes)
Unique sites:
Na 0.0000 0.0000 0.0000 x3
Na 0.0000 0.0000 0.5000 x3
Na 0.0000 0.5000 0.0000 x9
Li 0.0000 0.5000 0.5000 x9
Br 0.0000 0.0000 0.2435 x6
Br 0.0093 0.5046 0.7547 x18

Main lines, by angle (10° ≤ 2θ ≤ 90°):
2θ = 26.3°, I = 20, hkl 0 0 6; 2θ = 26.5°, I = 63, hkl 2 0 2; 2θ = 30.6°, I = 100, hkl 0 2 4; 2θ = 43.7°, I = 35, hkl 2 0 8; 2θ = 43.9°, I = 36, hkl 2 2 0; 2θ = 51.9°, I = 27, hkl 0 4 2; 2θ = 54.5°, I = 18, hkl 4 0 4; 2θ = 63.7°, I = 11, hkl 0 4 8; 2θ = 72.2°, I = 14, hkl 2 2 12; 2θ = 72.4°, I = 15, hkl 2 4 4

(6)
Calculated powder diffractogram
Compound: Sc3Bi2C
Radiation: Cu Ka
Structure: a cell relaxed with GGA-PBE

Structural model:
a = 13.776 Å, b = 6.105 Å, c = 6.720 Å
α = 90.00°, β = 104.01°, γ = 90.00°
Space group C2/c (No. 15)
Unique sites:
Sc 0.000 0.095 0.250 x4
Sc 0.113 0.496 0.557 x8
Bi 0.182 0.006 0.090 x8
C 0.000 0.451 0.250 x4

Main lines, by angle (10° ≤ 2θ ≤ 90°):
2θ = 13.2°, I = 64, hkl 2 0 0; 2θ = 16.0°, I = 36, hkl 1 1 0; 2θ = 24.7°, I = 87, hkl 3 1 0; 2θ = 29.3°, I = 79, hkl 0 2 0; 2θ = 30.4°, I = 44, hkl 1 1 -2; 2θ = 33.3°, I = 78, hkl 3 1 -2; 2θ = 33.4°, I = 100, hkl 2 0 2; 2θ = 36.7°, I = 65, hkl 5 1 0; 2θ = 40.5°, I = 37, hkl 6 0 0; 2θ = 45.0°, I = 77, hkl 2 2 2

- What is the formula in the second record?
  Ac2Cd5Hg12

- Which formula does entry 1 have?
  Ho4TeI5